# PaCS
Calculated powder XRD pattern, Cu Kα (λ = 1.5418 Å). Input: DFT lattice parameters and positions (PBE).

Peak list (12 most intense, 10° ≤ 2θ ≤ 80°, sorted by position)
| Position (°2θ) | I (rel.) | index |
| --- | --- | --- |
| 23.2 | 100 | 1 1 0 |
| 23.5 | 36 | 0 0 1 |
| 33.2 | 82 | 1 1 1 |
| 40.7 | 33 | 3 0 0 |
| 47.4 | 14 | 2 2 0 |
| 47.6 | 36 | 3 0 1 |
| 53.5 | 23 | 2 2 1 |
| 54.0 | 21 | 1 1 2 |
| 64.2 | 11 | 4 1 0 |
| 64.8 | 17 | 3 0 2 |
| 69.4 | 20 | 4 1 1 |
| 69.8 | 9 | 2 2 2 |

Structural model:
Cell: 7.6735 7.6735 3.7872 Å, 90.00 90.00 120.00°
Space group P-6 (No. 174)
Asymmetric unit:
Pa 0.0000 0.3198 0.0000 (multiplicity 3)
C 0.4637 0.0006 0.5000 (multiplicity 3)
S 0.0000 0.0000 0.5000 (multiplicity 1)
S 0.3333 0.6667 0.0000 (multiplicity 1)
S 0.6667 0.3333 0.0000 (multiplicity 1)

# PbW4C2S
Calculated powder XRD pattern, Cu Kα (λ = 1.5418 Å). Input: DFT lattice parameters and positions (PBE).

Peak list (12 most intense, 10° ≤ 2θ ≤ 80°, sorted by position)
| Position (°2θ) | I (rel.) | index |
| --- | --- | --- |
| 32.1 | 32 | 1 0 0 |
| 34.7 | 13 | 0 0 5 |
| 35.0 | 21 | 1 0 2 |
| 38.4 | 100 | 1 0 3 |
| 41.9 | 10 | 0 0 6 |
| 48.0 | 9 | 1 0 5 |
| 53.7 | 10 | 1 0 6 |
| 57.2 | 26 | 1 1 0 |
| 66.9 | 15 | 1 0 8 |
| 68.6 | 11 | 1 1 5 |
| 71.0 | 17 | 2 0 3 |
| 73.4 | 11 | 1 1 6 |

Structural model:
Cell: 3.2216 3.2216 12.9290 Å, 90.00 90.00 120.00°
Space group P-6m2 (No. 187)
Asymmetric unit:
Pb 0.0000 0.0000 0.0000 (multiplicity 1)
W 0.0000 0.0000 0.3574 (multiplicity 2)
W 0.3333 0.6667 0.1917 (multiplicity 2)
C 0.6667 0.3333 0.2694 (multiplicity 2)
S 0.3333 0.6667 0.5000 (multiplicity 1)

# TbYPbC
Calculated powder XRD pattern, Cu Kα (λ = 1.5418 Å). Input: DFT lattice parameters and positions (PBE).

Peak list (12 most intense, 10° ≤ 2θ ≤ 80°, sorted by position)
| Position (°2θ) | I (rel.) | index |
| --- | --- | --- |
| 10.9 | 9 | 0 0 2 |
| 22.0 | 4 | 0 0 4 |
| 28.2 | 22 | 1 0 0 |
| 28.8 | 7 | 1 0 1 |
| 32.8 | 100 | 1 0 3 |
| 33.2 | 21 | 0 0 6 |
| 44.1 | 16 | 1 0 6 |
| 50.0 | 21 | 1 1 0 |
| 59.1 | 19 | 1 0 9 |
| 61.1 | 17 | 2 0 3 |
| 61.3 | 22 | 1 1 6 |
| 68.9 | 4 | 2 0 6 |

Structural model:
Cell: 3.6489 3.6489 16.1882 Å, 90.00 90.00 120.00°
Space group P6_3mc (No. 186)
Asymmetric unit:
Tb 0.3333 0.6667 0.0000 (multiplicity 2)
Y 0.3333 0.6667 0.3345 (multiplicity 2)
Pb 0.3333 0.6667 0.6674 (multiplicity 2)
C 0.0000 0.0000 0.4173 (multiplicity 2)